Structure and simulated powder X-ray diffraction pattern of BiRu3C9O9 (the GGA-PBE geometry in the Materials Project; Cu Ka).

Main lines, most intense first (15° ≤ 2θ ≤ 90°):
| 2theta | I_rel | index |
| --- | --- | --- |
| 30.81 | 100 | 2 1 -2 |
| 29.09 | 88 | 2 -1 2 |
| 16.09 | 70 | 1 1 -1 |
| 28.69 | 53 | 1 3 0 |
| 20.48 | 46 | 1 -1 2 |
| 39.35 | 40 | 1 4 1 |
| 15.79 | 37 | 1 0 2 |
| 28.19 | 36 | 2 2 -1 |

Structure:
```
44
Lattice="8.292 0.000 0.000 3.369 8.718 0.000 3.983 -1.040 12.000" Properties=species:S:1:pos:R:3 pbc="T T T"
Bi 1.173 1.766 1.163
Bi 14.471 5.912 10.837
Ru 4.974 3.955 9.210
Ru 3.057 0.776 2.979
Ru 7.010 5.912 8.155
Ru 8.634 1.766 3.845
Ru 12.587 6.901 9.021
Ru 10.669 3.723 2.790
C 4.051 3.005 7.801
C 3.569 4.087 1.393
C 6.221 2.642 9.694
C 7.864 7.542 8.483
C 5.866 7.751 2.577
C 4.176 0.429 4.514
C 7.227 5.800 6.234
C 8.466 4.844 8.653
C 4.397 0.840 1.682
C 11.246 6.838 10.319
C 7.178 2.833 3.348
C 8.416 1.878 5.766
C 11.468 7.249 7.486
C 9.777 -0.073 9.423
C 7.780 0.136 3.517
C 9.422 5.036 2.306
C 12.075 3.591 10.608
C 11.593 4.673 4.199
O 3.899 5.269 4.998
O 5.066 -0.182 8.684
O 5.536 6.667 2.317
O 4.294 4.344 0.519
O 6.970 1.816 10.028
O 4.916 0.196 5.378
O 7.464 5.747 5.097
O 10.392 6.830 11.115
O 6.252 3.474 3.052
O 9.392 4.203 8.949
O 5.251 0.848 0.885
O 8.179 1.931 6.903
O 10.728 7.482 6.622
O 8.673 5.862 1.972
O 11.349 3.333 11.481
O 10.107 1.011 9.684
O 10.577 7.860 3.317
O 11.745 2.408 7.003
```